This entry pairs a crystal structure of PmThCd2 with its computed powder X-ray diffraction pattern. Radiation: Cu Kα, 1.54184 Å. Structure: a DFT-relaxed cell (GGA-PBE, Alexandria).
Peak positions follow from Bragg's law for the DFT cell and can differ from measured ones.

Structural model:
```
PmThCd2
1.0
3.7923 0.0000 0.0000
0.0000 3.7923 0.0000
0.0000 0.0000 7.8276
Pm Th Cd
1 1 2
Cartesian
0.0000 0.0000 0.0000
0.0000 0.0000 3.9138
1.8962 1.8962 1.9004
1.8962 1.8962 5.9272
```

Principal peaks in the range 5 to 70 degrees two-theta, in order of falling intensity:
32.9 deg, d 2.724, rel. 1000, (1 0 2); 33.4 deg, d 2.682, rel. 481, (1 1 0); 59.4 deg, d 1.556, rel. 364, (2 1 2); 58.4 deg, d 1.581, rel. 190, (1 1 4); 48.0 deg, d 1.896, rel. 174, (2 0 0); 69.0 deg, d 1.362, rel. 115, (2 0 4); 46.4 deg, d 1.957, rel. 95, (0 0 4); 23.5 deg, d 3.792, rel. 61, (1 0 0); 26.1 deg, d 3.413, rel. 36, (1 0 1); 22.7 deg, d 3.914, rel. 34, (0 0 2)

---

This entry pairs a crystal structure of Pm6ThCd with its computed powder X-ray diffraction pattern. Radiation: Cu Kα, 1.54184 Å. Structure: a DFT-relaxed cell (GGA-PBE, Alexandria).
Peak positions follow from Bragg's law for the DFT cell and can differ from measured ones.

Structural model:
```
Pm6ThCd
1.0
4.9780 0.0000 0.0000
0.0000 4.9780 0.0000
0.0000 0.0000 20.8773
Pm Th Cd
12 2 2
Cartesian
0.0000 0.0000 5.1692
0.0000 0.0000 15.7080
0.0000 2.4890 2.5114
0.0000 2.4890 7.9272
0.0000 2.4890 12.9500
0.0000 2.4890 18.3659
2.4890 0.0000 2.5114
2.4890 0.0000 7.9272
2.4890 0.0000 12.9500
2.4890 0.0000 18.3659
2.4890 2.4890 5.2694
2.4890 2.4890 15.6079
0.0000 0.0000 0.0000
2.4890 2.4890 10.4386
0.0000 0.0000 10.4386
2.4890 2.4890 0.0000
```

Principal peaks in the range 5 to 70 degrees two-theta, in order of falling intensity:
30.6 deg, d 2.918, rel. 1000, (1 1 4); 36.1 deg, d 2.489, rel. 326, (2 0 0); 61.5 deg, d 1.507, rel. 275, (3 1 4); 50.7 deg, d 1.801, rel. 241, (2 0 8); 34.4 deg, d 2.610, rel. 180, (0 0 8); 59.2 deg, d 1.560, rel. 145, (1 1 12); 63.8 deg, d 1.459, rel. 120, (2 2 8); 52.0 deg, d 1.760, rel. 115, (2 2 0); 18.3 deg, d 4.842, rel. 28, (1 0 1); 8.5 deg, d 10.439, rel. 17, (0 0 2)